[1]
This entry pairs a crystal structure of Rb2Mo2H4C4O15 with its theoretical powder diffraction line list. Radiation: Cu Kα. Structure: the GGA+U geometry in the Materials Project.
No peak broadening, texture or thermal motion is included.

Atomic structure:
Unit cell a=7.809 b=14.533 c=7.030 alpha=90.00 beta=94.48 gamma=90.00
Space group P2_1/c (No. 14)
One atom of each set of equivalent atoms:
1 Rb 0.192 0.137 0.373 [4 per cell]
2 Mo 0.106 0.607 0.616 [4 per cell]
3 H 0.260 0.675 0.274 [4 per cell]
4 H 0.290 0.565 0.274 [4 per cell]
5 C 0.457 0.676 0.752 [4 per cell]
6 C 0.480 0.570 0.740 [4 per cell]
7 O 0.000 0.000 0.000 [2 per cell]
8 O 0.030 0.195 0.969 [4 per cell]
9 O 0.057 0.590 0.850 [4 per cell]
10 O 0.218 0.616 0.321 [4 per cell]
11 O 0.302 0.704 0.691 [4 per cell]
12 O 0.345 0.527 0.667 [4 per cell]
13 O 0.382 0.034 0.700 [4 per cell]
14 O 0.426 0.227 0.685 [4 per cell]

The 10 most intense peaks (2θ from 5° to 70°), sorted by position:
- hkl 1 0 0, 2θ 11.4, d = 7.786 Å, rel. 83
- hkl 1 1 -1, 2θ 17.5, d = 5.081 Å, rel. 100
- hkl 1 2 -1, 2θ 20.4, d = 4.347 Å, rel. 71
- hkl 1 2 1, 2θ 21.5, d = 4.128 Å, rel. 82
- hkl 0 4 0, 2θ 24.5, d = 3.633 Å, rel. 43
- hkl 2 1 -1, 2θ 26.0, d = 3.423 Å, rel. 48
- hkl 0 1 2, 2θ 26.2, d = 3.407 Å, rel. 45
- hkl 1 4 0, 2θ 27.1, d = 3.293 Å, rel. 60
- hkl 2 2 1, 2θ 29.8, d = 3.001 Å, rel. 94
- hkl 1 2 -3, 2θ 41.4, d = 2.181 Å, rel. 64

=====

[2]
This entry pairs a crystal structure of SnMoH6C2O4 with its theoretical powder diffraction line list. Radiation: Cu Kα. Structure: the GGA+U geometry in the Materials Project.
No peak broadening, texture or thermal motion is included.

Atomic structure:
Unit cell a=13.732 b=7.444 c=7.381 alpha=90.00 beta=90.00 gamma=90.00
Space group Pnma (No. 62)
One atom of each set of equivalent atoms:
1 Sn 0.127 0.250 0.226 [4 per cell]
2 Mo 0.114 0.750 0.065 [4 per cell]
3 H 0.018 0.750 0.534 [4 per cell]
4 H 0.084 0.129 0.559 [8 per cell]
5 H 0.188 0.250 0.884 [4 per cell]
6 H 0.225 0.629 0.521 [8 per cell]
7 C 0.061 0.250 0.486 [4 per cell]
8 C 0.230 0.250 0.011 [4 per cell]
9 O 0.004 0.750 0.933 [4 per cell]
10 O 0.118 0.552 0.206 [8 per cell]
11 O 0.217 0.750 0.920 [4 per cell]

The 10 most intense peaks (2θ from 5° to 70°), sorted by position:
- hkl 1 0 1, 2θ 13.6, d = 6.501 Å, rel. 43
- hkl 0 1 1, 2θ 16.9, d = 5.241 Å, rel. 22
- hkl 2 0 1, 2θ 17.6, d = 5.027 Å, rel. 100
- hkl 0 2 0, 2θ 23.9, d = 3.722 Å, rel. 45
- hkl 4 0 0, 2θ 26.0, d = 3.433 Å, rel. 24
- hkl 2 2 1, 2θ 29.9, d = 2.991 Å, rel. 26
- hkl 2 1 2, 2θ 30.0, d = 2.979 Å, rel. 42
- hkl 2 3 2, 2θ 46.0, d = 1.972 Å, rel. 19
- hkl 4 1 3, 2θ 47.1, d = 1.931 Å, rel. 21
- hkl 6 1 2, 2θ 48.3, d = 1.883 Å, rel. 20

=====

[3]
This entry pairs a crystal structure of NiH3C5NO6 with its theoretical powder diffraction line list. Radiation: Cu Kα. Structure: the GGA+U geometry in the Materials Project.
No peak broadening, texture or thermal motion is included.

Atomic structure:
Unit cell a=13.571 b=7.836 c=8.613 alpha=90.00 beta=121.60 gamma=90.00
Space group Cc (No. 9)
One atom of each set of equivalent atoms:
1 Ni 0.000 0.250 0.000 [4 per cell]
2 H 0.049 0.049 0.748 [4 per cell]
3 H 0.251 0.350 0.252 [4 per cell]
4 H 0.450 0.050 0.750 [4 per cell]
5 C 0.021 0.480 0.750 [4 per cell]
6 C 0.183 0.236 0.580 [4 per cell]
7 C 0.251 0.209 0.250 [4 per cell]
8 C 0.295 0.240 0.920 [4 per cell]
9 C 0.479 0.479 0.750 [4 per cell]
10 N 0.239 0.238 0.750 [4 per cell]
11 O 0.060 0.345 0.846 [4 per cell]
12 O 0.061 0.465 0.156 [4 per cell]
13 O 0.155 0.130 0.154 [4 per cell]
14 O 0.345 0.129 0.345 [4 per cell]
15 O 0.439 0.343 0.655 [4 per cell]
16 O 0.439 0.466 0.345 [4 per cell]

The 10 most intense peaks (2θ from 5° to 70°), sorted by position:
- hkl 1 1 -1, 2θ 15.3, d = 5.776 Å, rel. 100
- hkl 1 1 1, 2θ 20.8, d = 4.274 Å, rel. 55
- hkl 0 2 0, 2θ 22.7, d = 3.918 Å, rel. 29
- hkl 3 1 0, 2θ 25.8, d = 3.456 Å, rel. 23
- hkl 2 2 -2, 2θ 31.0, d = 2.888 Å, rel. 23
- hkl 3 1 -3, 2θ 33.5, d = 2.678 Å, rel. 28
- hkl 4 2 0, 2θ 38.7, d = 2.325 Å, rel. 14
- hkl 1 3 -2, 2θ 40.7, d = 2.216 Å, rel. 14
- hkl 2 2 2, 2θ 42.3, d = 2.137 Å, rel. 15
- hkl 4 2 2, 2θ 55.0, d = 1.670 Å, rel. 12

=====

[4]
This entry pairs a crystal structure of NiH7C3NO6 with its theoretical powder diffraction line list. Radiation: Cu Kα. Structure: the GGA+U geometry in the Materials Project.
No peak broadening, texture or thermal motion is included.

Atomic structure:
Unit cell a=12.986 b=7.392 c=8.022 alpha=90.00 beta=91.19 gamma=90.00
Space group C2 (No. 5)
One atom of each set of equivalent atoms:
1 Ni 0.167 0.000 0.249 [4 per cell]
2 H 0.000 0.091 0.000 [2 per cell]
3 H 0.000 0.914 0.500 [2 per cell]
4 H 0.010 0.600 0.345 [4 per cell]
5 H 0.033 0.383 0.288 [4 per cell]
6 H 0.044 0.563 0.154 [4 per cell]
7 H 0.074 0.492 0.788 [4 per cell]
8 H 0.205 0.297 0.501 [4 per cell]
9 H 0.205 0.707 0.998 [4 per cell]
10 C 0.000 0.064 0.500 [2 per cell]
11 C 0.000 0.941 0.000 [2 per cell]
12 C 0.220 0.279 0.999 [4 per cell]
13 C 0.221 0.722 0.500 [4 per cell]
14 N 0.002 0.507 0.250 [4 per cell]
15 O 0.056 0.143 0.394 [4 per cell]
16 O 0.060 0.860 0.102 [4 per cell]
17 O 0.151 0.771 0.397 [4 per cell]
18 O 0.152 0.231 0.101 [4 per cell]
19 O 0.208 0.405 0.892 [4 per cell]
20 O 0.212 0.594 0.603 [4 per cell]

The 10 most intense peaks (2θ from 5° to 70°), sorted by position:
- hkl 2 0 0, 2θ 13.6, d = 6.491 Å, rel. 14
- hkl 1 1 0, 2θ 13.8, d = 6.424 Å, rel. 27
- hkl 2 0 -1, 2θ 17.4, d = 5.098 Å, rel. 35
- hkl 1 1 -1, 2θ 17.6, d = 5.039 Å, rel. 68
- hkl 2 0 1, 2θ 17.8, d = 4.991 Å, rel. 100
- hkl 3 1 -1, 2θ 26.1, d = 3.409 Å, rel. 15
- hkl 3 1 1, 2θ 26.5, d = 3.360 Å, rel. 27
- hkl 3 1 -2, 2θ 32.5, d = 2.758 Å, rel. 23
- hkl 0 2 2, 2θ 33.0, d = 2.718 Å, rel. 23
- hkl 3 1 2, 2θ 33.1, d = 2.709 Å, rel. 21